No. 1
Theoretical powder X-ray diffraction pattern
Compound: Mg2Nb2SbO8
Radiation: λ = 1.5418 Å (Cu Kα)
Structure: a cell relaxed with GGA-PBE
No peak broadening, texture or thermal motion is included.

Top 8 peaks for 15 to 90 degrees two-theta, in order of rising 2θ:
2θ 19.8, I 56; 2θ 25.2, I 89; 2θ 26.5, I 100; 2θ 30.5, I 55; 2θ 32.2, I 63; 2θ 33.4, I 38; 2θ 34.3, I 53; 2θ 50.9, I 53

Cell and atoms:
Unit cell a=20.450 b=5.985 c=5.373 alpha=90.00 beta=94.22 gamma=90.00
Space group C2 (No. 5)
One atom of each set of equivalent atoms:
Mg  0.228  0.000  0.490
Mg  0.229  0.301  0.989
Nb  0.124  0.816  0.982
Nb  0.125  0.487  0.482
Sb  0.000  0.328  0.000
Sb  0.000  0.983  0.500
O  0.058  0.050  0.861
O  0.058  0.252  0.360
O  0.078  0.564  0.778
O  0.078  0.739  0.278
O  0.186  0.756  0.689
O  0.187  0.546  0.190
O  0.196  0.290  0.618
O  0.197  0.011  0.120



No. 2
Theoretical powder X-ray diffraction pattern
Compound: Mg2Nb2SbO8
Radiation: λ = 1.5418 Å (Cu Kα)
Structure: a cell relaxed with GGA-PBE
No peak broadening, texture or thermal motion is included.

Top 8 peaks for 15 to 90 degrees two-theta, in order of rising 2θ:
2θ 19.8, I 55; 2θ 25.2, I 88; 2θ 26.5, I 100; 2θ 30.5, I 55; 2θ 32.2, I 63; 2θ 33.4, I 38; 2θ 49.0, I 33; 2θ 50.9, I 53

Cell and atoms:
Unit cell a=5.373 b=5.985 c=10.652 alpha=106.28 beta=94.00 gamma=90.20
Space group P1 (No. 1)
One atom of each set of equivalent atoms:
Mg  0.000  0.000  0.000
Mg  0.020  0.545  0.087
Mg  0.499  0.302  0.001
Mg  0.520  0.846  0.088
Nb  0.026  0.136  0.296
Nb  0.489  0.716  0.791
Nb  0.527  0.465  0.296
Nb  0.992  0.385  0.793
Sb  0.005  0.756  0.544
Sb  0.510  0.100  0.543
O  0.129  0.259  0.937
O  0.149  0.965  0.426
O  0.202  0.716  0.919
O  0.231  0.433  0.387
O  0.288  0.415  0.700
O  0.320  0.132  0.170
O  0.370  0.886  0.665
O  0.391  0.588  0.151
O  0.630  0.981  0.938
O  0.648  0.765  0.428
O  0.703  0.504  0.919
O  0.727  0.252  0.388
O  0.785  0.592  0.702
O  0.820  0.343  0.172
O  0.870  0.083  0.660
O  0.892  0.867  0.151



No. 3
Theoretical powder X-ray diffraction pattern
Compound: MgNb3SiO10
Radiation: λ = 1.5418 Å (Cu Kα)
Structure: a cell relaxed with GGA-PBE
No peak broadening, texture or thermal motion is included.

Top 8 peaks for 15 to 90 degrees two-theta, in order of rising 2θ:
2θ 24.5, I 82; 2θ 24.6, I 92; 2θ 28.3, I 68; 2θ 30.3, I 100; 2θ 34.0, I 39; 2θ 34.6, I 38; 2θ 34.8, I 36; 2θ 53.6, I 39

Cell and atoms:
Unit cell a=5.016 b=5.373 c=6.901 alpha=79.47 beta=68.80 gamma=89.66
Space group P1 (No. 1)
One atom of each set of equivalent atoms:
Mg  0.000  0.000  0.000
Nb  0.330  0.040  0.371
Nb  0.619  0.127  0.777
Nb  0.862  0.541  0.338
Si  0.111  0.608  0.767
O  0.099  0.595  0.048
O  0.099  0.677  0.503
O  0.327  0.926  0.693
O  0.330  0.069  0.082
O  0.442  0.449  0.696
O  0.555  0.347  0.311
O  0.696  0.865  0.291
O  0.806  0.819  0.844
O  0.896  0.325  0.856
O  0.938  0.190  0.483



No. 4
Theoretical powder X-ray diffraction pattern
Compound: MgNb3SiO10
Radiation: λ = 1.5418 Å (Cu Kα)
Structure: a cell relaxed with GGA-PBE
No peak broadening, texture or thermal motion is included.

Top 8 peaks for 15 to 90 degrees two-theta, in order of rising 2θ:
2θ 24.2, I 95; 2θ 24.9, I 100; 2θ 28.4, I 98; 2θ 29.7, I 82; 2θ 30.6, I 70; 2θ 33.3, I 65; 2θ 53.0, I 48; 2θ 53.7, I 55

Cell and atoms:
Unit cell a=4.900 b=5.519 c=6.825 alpha=101.49 beta=109.47 gamma=91.22
Space group P1 (No. 1)
One atom of each set of equivalent atoms:
Mg  0.000  0.000  0.000
Nb  0.203  0.450  0.378
Nb  0.670  0.925  0.343
Nb  0.889  0.394  0.786
Si  0.391  0.883  0.769
O  0.069  0.030  0.705
O  0.161  0.402  0.076
O  0.183  0.569  0.688
O  0.401  0.902  0.055
O  0.428  0.805  0.508
O  0.587  0.291  0.484
O  0.633  0.146  0.852
O  0.724  0.692  0.856
O  0.846  0.634  0.306
O  0.979  0.118  0.297



No. 5
Theoretical powder X-ray diffraction pattern
Compound: MgNb3SiO10
Radiation: λ = 1.5418 Å (Cu Kα)
Structure: a cell relaxed with GGA-PBE
No peak broadening, texture or thermal motion is included.

Top 8 peaks for 15 to 90 degrees two-theta, in order of rising 2θ:
2θ 17.5, I 23; 2θ 17.8, I 26; 2θ 22.8, I 58; 2θ 22.9, I 100; 2θ 25.7, I 25; 2θ 27.2, I 65; 2θ 27.5, I 36; 2θ 34.4, I 23

Cell and atoms:
Unit cell a=5.430 b=5.603 c=7.390 alpha=72.07 beta=69.63 gamma=89.56
Space group P1 (No. 1)
One atom of each set of equivalent atoms:
Mg  0.000  0.000  0.000
Nb  0.140  0.647  0.764
Nb  0.619  0.145  0.769
Nb  0.982  0.498  0.343
Si  0.349  0.016  0.279
O  0.099  0.884  0.249
O  0.254  0.287  0.310
O  0.271  0.322  0.857
O  0.384  0.863  0.823
O  0.388  0.811  0.475
O  0.617  0.082  0.073
O  0.657  0.284  0.479
O  0.911  0.489  0.646
O  0.918  0.948  0.756
O  0.941  0.590  0.083